Y3MgZn2Ir2Pd: calculated powder diffraction line list (CuKα), based on a DFT-relaxed cell (PBE, OQMD).
Lines closer than 0.1° are merged.

Structural model:
```
data_Y3MgZn2Ir2Pd
_chemical_formula_sum 'Y6 Mg2 Zn4 Ir4 Pd2'
_space_group_name_H-M_alt 'A m m 2'
_space_group_IT_number 38
_space_group_name_Hall 'A 2 -2'
_cell_length_a 3.951
_cell_length_b 12.578
_cell_length_c 7.231
_cell_angle_alpha 90.00
_cell_angle_beta 90.00
_cell_angle_gamma 90.00
loop_
_atom_site_label
_atom_site_fract_x
_atom_site_fract_y
_atom_site_fract_z
_atom_site_occupancy
Y1 0.000 0.000 0.000 1
Y2 0.000 0.212 0.391 1
Mg1 0.500 0.000 0.354 1
Zn1 0.500 0.127 0.720 1
Ir1 0.500 0.166 0.098 1
Pd1 0.000 0.000 0.602 1
```

Most intense lines, 10° ≤ 2θ ≤ 80°, in order of falling intensity:
- 2θ = 36.6°, I 100, hkl 1 4 0
- 2θ = 33.6°, I 83, hkl 1 0 2
- 2θ = 24.6°, I 51, hkl 0 0 2
- 2θ = 43.3°, I 32, hkl 0 3 3
- 2θ = 45.9°, I 26, hkl 2 0 0
- 2θ = 26.7°, I 25, hkl 1 2 0
- 2θ = 44.5°, I 25, hkl 1 5 1
- 2θ = 65.0°, I 19, hkl 2 3 3
- 2θ = 37.9°, I 19, hkl 0 4 2
- 2θ = 14.1°, I 18, hkl 0 2 0

=====

TbTm2Mg3Ir2Pt: calculated powder diffraction line list (CuKα), based on a DFT-relaxed cell (PBE, OQMD).
Lines closer than 0.1° are merged.

Structural model:
```
data_TbTm2Mg3Ir2Pt
_chemical_formula_sum 'Tb2 Tm4 Mg6 Ir4 Pt2'
_space_group_name_H-M_alt 'A m m 2'
_space_group_IT_number 38
_space_group_name_Hall 'A 2 -2'
_cell_length_a 4.020
_cell_length_b 12.645
_cell_length_c 7.282
_cell_angle_alpha 90.00
_cell_angle_beta 90.00
_cell_angle_gamma 90.00
loop_
_atom_site_label
_atom_site_fract_x
_atom_site_fract_y
_atom_site_fract_z
_atom_site_occupancy
Tb1 0.000 0.000 0.000 1
Tm1 0.000 0.206 0.620 1
Mg1 0.500 0.000 0.662 1
Mg2 0.500 0.125 0.290 1
Ir1 0.500 0.169 0.913 1
Pt1 0.000 0.000 0.417 1
```

Most intense lines, 10° ≤ 2θ ≤ 80°, in order of falling intensity:
- 2θ = 36.2°, I 100, hkl 1 2 2
- 2θ = 33.2°, I 66, hkl 1 0 2
- 2θ = 24.4°, I 49, hkl 0 3 1
- 2θ = 43.0°, I 37, hkl 0 6 0
- 2θ = 44.1°, I 35, hkl 1 5 1
- 2θ = 26.3°, I 25, hkl 1 1 1
- 2θ = 64.1°, I 23, hkl 2 6 0
- 2θ = 45.1°, I 23, hkl 2 0 0
- 2θ = 68.9°, I 17, hkl 1 8 2
- 2θ = 28.3°, I 15, hkl 0 4 0

=====

Mg2SbIr: calculated powder diffraction line list (CuKα), based on a DFT-relaxed cell (PBE, OQMD).
Lines closer than 0.1° are merged.

Structural model:
```
data_Mg2SbIr
_chemical_formula_sum 'Mg8 Sb4 Ir4'
_space_group_name_H-M_alt 'F -4 3 m'
_space_group_IT_number 216
_space_group_name_Hall 'F -4 2 3'
_cell_length_a 6.620
_cell_length_b 6.620
_cell_length_c 6.620
_cell_angle_alpha 90.00
_cell_angle_beta 90.00
_cell_angle_gamma 90.00
loop_
_atom_site_label
_atom_site_fract_x
_atom_site_fract_y
_atom_site_fract_z
_atom_site_occupancy
Mg1 0.000 0.000 0.000 1
Mg2 0.250 0.250 0.250 1
Sb1 0.000 0.000 0.500 1
Ir1 0.250 0.250 0.750 1
```

Most intense lines, 10° ≤ 2θ ≤ 80°, in order of falling intensity:
- 2θ = 38.5°, I 100, hkl 2 2 0
- 2θ = 23.3°, I 66, hkl 1 1 1
- 2θ = 69.6°, I 35, hkl 4 2 2
- 2θ = 45.4°, I 34, hkl 3 1 1
- 2θ = 55.5°, I 17, hkl 4 0 0
- 2θ = 61.0°, I 14, hkl 3 3 1
- 2θ = 74.5°, I 11, hkl 5 1 1
- 2θ = 26.9°, I 4, hkl 2 0 0
- 2θ = 62.8°, I 2, hkl 4 2 0
- 2θ = 47.6°, I 1, hkl 2 2 2

=====

MgSc4Ir5: calculated powder diffraction line list (CuKα), based on a DFT-relaxed cell (PBE, OQMD).
Lines closer than 0.1° are merged.

Structural model:
```
data_MgSc4Ir5
_chemical_formula_sum 'Mg1 Sc4 Ir5'
_space_group_name_H-M_alt 'P 4/m m m'
_space_group_IT_number 123
_space_group_name_Hall '-P 4 2'
_cell_length_a 3.205
_cell_length_b 3.205
_cell_length_c 15.925
_cell_angle_alpha 90.00
_cell_angle_beta 90.00
_cell_angle_gamma 90.00
loop_
_atom_site_label
_atom_site_fract_x
_atom_site_fract_y
_atom_site_fract_z
_atom_site_occupancy
Mg1 0.000 0.000 0.000 1
Sc1 0.000 0.000 0.193 1
Sc2 0.000 0.000 0.398 1
Ir1 0.500 0.500 0.096 1
Ir2 0.500 0.500 0.298 1
Ir3 0.500 0.500 0.500 1
```

Most intense lines, 10° ≤ 2θ ≤ 80°, in order of falling intensity:
- 2θ = 39.9°, I 100, hkl 1 0 5
- 2θ = 27.8°, I 54, hkl 1 0 0
- 2θ = 39.8°, I 51, hkl 1 1 0
- 2θ = 72.3°, I 34, hkl 2 1 5
- 2θ = 28.0°, I 26, hkl 0 0 5
- 2θ = 49.4°, I 24, hkl 1 1 5
- 2θ = 65.1°, I 21, hkl 2 1 0
- 2θ = 57.5°, I 17, hkl 2 0 0
- 2θ = 72.5°, I 17, hkl 1 1 10
- 2θ = 65.4°, I 10, hkl 1 0 10

=====

Mg5Ir3Se: calculated powder diffraction line list (CuKα), based on a DFT-relaxed cell (PBE, OQMD).
Lines closer than 0.1° are merged.

Structural model:
```
data_Mg5Ir3Se
_chemical_formula_sum 'Mg5 Ir3 Se1'
_space_group_name_H-M_alt 'P -6 2 m'
_space_group_IT_number 189
_space_group_name_Hall 'P -6 -2'
_cell_length_a 7.4993
_cell_length_b 7.4993
_cell_length_c 2.9757
_cell_angle_alpha 90.00
_cell_angle_beta 90.00
_cell_angle_gamma 120.00
loop_
_atom_site_label
_atom_site_fract_x
_atom_site_fract_y
_atom_site_fract_z
_atom_site_occupancy
Mg1 0.0000 0.2964 0.0000 1
Mg2 0.3333 0.6667 0.0000 1
Ir1 0.0000 0.6318 0.5000 1
Se1 0.0000 0.0000 0.5000 1
```

Most intense lines, 10° ≤ 2θ ≤ 80°, in order of falling intensity:
- 2θ = 23.7°, I 100, hkl 1 1 0
- 2θ = 38.6°, I 97, hkl 1 1 1
- 2θ = 41.7°, I 56, hkl 3 0 0
- 2θ = 52.3°, I 26, hkl 3 0 1
- 2θ = 30.0°, I 26, hkl 0 0 1
- 2θ = 77.9°, I 24, hkl 3 0 2
- 2θ = 58.2°, I 22, hkl 2 2 1
- 2θ = 41.1°, I 19, hkl 2 0 1
- 2θ = 74.1°, I 15, hkl 4 1 1
- 2θ = 70.7°, I 14, hkl 3 2 1

=====

Mg5Si10Ir4: calculated powder diffraction line list (CuKα), based on a DFT-relaxed cell (PBE, OQMD).
Lines closer than 0.1° are merged.

Structural model:
```
data_Mg5Si10Ir4
_chemical_formula_sum 'Mg10 Si20 Ir8'
_space_group_name_H-M_alt 'P 4/m b m'
_space_group_IT_number 127
_space_group_name_Hall '-P 4 2ab'
_cell_length_a 12.374
_cell_length_b 12.374
_cell_length_c 4.115
_cell_angle_alpha 90.00
_cell_angle_beta 90.00
_cell_angle_gamma 90.00
loop_
_atom_site_label
_atom_site_fract_x
_atom_site_fract_y
_atom_site_fract_z
_atom_site_occupancy
Mg1 0.000 0.000 0.000 1
Mg2 0.115 0.385 0.500 1
Mg3 0.172 0.672 0.500 1
Si1 0.008 0.852 0.500 1
Si2 0.066 0.566 0.000 1
Si3 0.167 0.199 0.000 1
Ir1 0.018 0.754 0.000 1
```

Most intense lines, 10° ≤ 2θ ≤ 80°, in order of falling intensity:
- 2θ = 20.3°, I 100, hkl 2 2 0
- 2θ = 29.8°, I 76, hkl 2 2 1
- 2θ = 36.3°, I 71, hkl 4 0 1
- 2θ = 21.6°, I 56, hkl 0 0 1
- 2θ = 28.9°, I 44, hkl 4 0 0
- 2θ = 51.7°, I 42, hkl 6 2 1
- 2θ = 47.0°, I 34, hkl 4 4 1
- 2θ = 46.4°, I 29, hkl 6 2 0
- 2θ = 44.0°, I 22, hkl 0 0 2
- 2θ = 48.9°, I 21, hkl 2 2 2

=====

Sr2MgSi2Ir: calculated powder diffraction line list (CuKα), based on a DFT-relaxed cell (PBE, OQMD).
Lines closer than 0.1° are merged.

Structural model:
```
data_Sr2MgSi2Ir
_chemical_formula_sum 'Sr2 Mg1 Si2 Ir1'
_space_group_name_H-M_alt 'P -4 m 2'
_space_group_IT_number 115
_space_group_name_Hall 'P -4 -2'
_cell_length_a 4.393
_cell_length_b 4.393
_cell_length_c 7.211
_cell_angle_alpha 90.00
_cell_angle_beta 90.00
_cell_angle_gamma 90.00
loop_
_atom_site_label
_atom_site_fract_x
_atom_site_fract_y
_atom_site_fract_z
_atom_site_occupancy
Sr1 0.000 0.500 0.166 1
Mg1 0.000 0.000 0.500 1
Si1 0.000 0.500 0.686 1
Ir1 0.500 0.500 0.500 1
```

Most intense lines, 10° ≤ 2θ ≤ 80°, in order of falling intensity:
- 2θ = 31.4°, I 100, hkl 1 1 1
- 2θ = 23.7°, I 91, hkl 1 0 1
- 2θ = 38.2°, I 86, hkl 1 1 2
- 2θ = 32.1°, I 77, hkl 1 0 2
- 2θ = 12.3°, I 64, hkl 0 0 1
- 2θ = 41.1°, I 61, hkl 2 0 0
- 2θ = 20.2°, I 48, hkl 1 0 0
- 2θ = 53.1°, I 37, hkl 2 1 2
- 2θ = 48.0°, I 29, hkl 2 1 1
- 2θ = 56.8°, I 27, hkl 2 0 3

=====

Sr3Mg2Ir: calculated powder diffraction line list (CuKα), based on a DFT-relaxed cell (PBE, OQMD).
Lines closer than 0.1° are merged.

Structural model:
```
data_Sr3Mg2Ir
_chemical_formula_sum 'Sr3 Mg2 Ir1'
_space_group_name_H-M_alt 'P -4 m 2'
_space_group_IT_number 115
_space_group_name_Hall 'P -4 -2'
_cell_length_a 4.626
_cell_length_b 4.626
_cell_length_c 8.926
_cell_angle_alpha 90.00
_cell_angle_beta 90.00
_cell_angle_gamma 90.00
loop_
_atom_site_label
_atom_site_fract_x
_atom_site_fract_y
_atom_site_fract_z
_atom_site_occupancy
Sr1 0.000 0.000 0.000 1
Sr2 0.000 0.500 0.656 1
Mg1 0.000 0.500 0.222 1
Ir1 0.500 0.500 0.000 1
```

Most intense lines, 10° ≤ 2θ ≤ 80°, in order of falling intensity:
- 2θ = 29.1°, I 100, hkl 1 1 1
- 2θ = 34.0°, I 77, hkl 1 1 2
- 2θ = 38.9°, I 44, hkl 2 0 0
- 2θ = 27.8°, I 36, hkl 1 0 2
- 2θ = 30.0°, I 31, hkl 0 0 3
- 2θ = 49.9°, I 30, hkl 2 0 3
- 2θ = 21.6°, I 29, hkl 1 0 1
- 2θ = 49.4°, I 23, hkl 1 1 4
- 2θ = 67.4°, I 21, hkl 3 1 2
- 2θ = 64.6°, I 21, hkl 3 1 1

=====

Th3MgIr8: calculated powder diffraction line list (CuKα), based on a DFT-relaxed cell (PBE, OQMD).
Lines closer than 0.1° are merged.

Structural model:
```
data_Th3MgIr8
_chemical_formula_sum 'Th9 Mg3 Ir24'
_space_group_name_H-M_alt 'R 3 m'
_space_group_IT_number 160
_space_group_name_Hall 'R 3 -2"'
_cell_length_a 5.4122
_cell_length_b 5.4122
_cell_length_c 26.5231
_cell_angle_alpha 90.00
_cell_angle_beta 90.00
_cell_angle_gamma 120.00
loop_
_atom_site_label
_atom_site_fract_x
_atom_site_fract_y
_atom_site_fract_z
_atom_site_occupancy
Th1 0.0000 0.0000 0.0000 1
Th2 0.0000 0.0000 0.1277 1
Th3 0.0000 0.0000 0.5107 1
Mg1 0.0000 0.0000 0.6340 1
Ir1 0.0000 0.0000 0.3164 1
Ir2 0.0000 0.0000 0.8167 1
Ir3 0.1672 0.3344 0.3994 1
Ir4 0.1677 0.3353 0.9008 1
```

Most intense lines, 10° ≤ 2θ ≤ 80°, in order of falling intensity:
- 2θ = 39.0°, I 100, hkl 1 0 10
- 2θ = 40.8°, I 44, hkl 0 2 4
- 2θ = 63.1°, I 33, hkl 2 1 10
- 2θ = 69.5°, I 29, hkl 2 2 0
- 2θ = 33.1°, I 24, hkl 1 1 0
- 2θ = 20.1°, I 10, hkl 0 0 6
- 2θ = 59.1°, I 9, hkl 3 0 0
- 2θ = 47.5°, I 6, hkl 2 0 8
- 2θ = 79.1°, I 4, hkl 3 1 8
- 2θ = 19.2°, I 3, hkl 1 0 1

=====

YTm2Mg3Ir3: calculated powder diffraction line list (CuKα), based on a DFT-relaxed cell (PBE, OQMD).
Lines closer than 0.1° are merged.

Structural model:
```
data_YTm2Mg3Ir3
_chemical_formula_sum 'Y2 Tm4 Mg6 Ir6'
_space_group_name_H-M_alt 'A m m 2'
_space_group_IT_number 38
_space_group_name_Hall 'A 2 -2'
_cell_length_a 4.032
_cell_length_b 12.535
_cell_length_c 7.208
_cell_angle_alpha 90.00
_cell_angle_beta 90.00
_cell_angle_gamma 90.00
loop_
_atom_site_label
_atom_site_fract_x
_atom_site_fract_y
_atom_site_fract_z
_atom_site_occupancy
Y1 0.000 0.000 0.000 1
Tm1 0.000 0.204 0.614 1
Mg1 0.500 0.000 0.657 1
Mg2 0.500 0.123 0.287 1
Ir1 0.000 0.000 0.414 1
Ir2 0.500 0.169 0.909 1
```

Most intense lines, 10° ≤ 2θ ≤ 80°, in order of falling intensity:
- 2θ = 36.4°, I 100, hkl 1 2 2
- 2θ = 33.3°, I 67, hkl 1 0 2
- 2θ = 24.6°, I 57, hkl 0 3 1
- 2θ = 26.3°, I 36, hkl 1 1 1
- 2θ = 44.4°, I 32, hkl 1 5 1
- 2θ = 43.4°, I 30, hkl 0 3 3
- 2θ = 45.0°, I 24, hkl 2 0 0
- 2θ = 69.5°, I 20, hkl 1 8 2
- 2θ = 64.3°, I 19, hkl 2 3 3
- 2θ = 51.9°, I 16, hkl 2 3 1